# Pm5HoRh6
Calculated powder X-ray diffraction pattern, copper Kα. Input: the GGA-PBE geometry in Alexandria.
Peak positions follow from Bragg's law for the DFT cell and can differ from measured ones.

Crystal structure
a = 7.8676 Å, b = 7.8676 Å, c = 6.9318 Å
α = 90.00°, β = 90.00°, γ = 143.16°
Fractional coordinates of all 12 atoms:
Pm 0.0000 0.0000 0.0000
Pm 0.3335 0.6665 0.0000
Pm 0.3340 0.6660 0.5000
Pm 0.6660 0.3340 0.5000
Pm 0.6665 0.3335 0.0000
Ho 0.0000 0.0000 0.5000
Rh 0.1639 0.8361 0.2525
Rh 0.1639 0.8361 0.7475
Rh 0.5000 0.5000 0.2563
Rh 0.5000 0.5000 0.7437
Rh 0.8361 0.1639 0.2525
Rh 0.8361 0.1639 0.7475

Peak list (12 most intense, 2θ = 10–90°, most intense first)
| 2θ/deg | intensity |
| --- | --- |
| 36.4 | 100 |
| 36.1 | 51 |
| 65.1 | 36 |
| 52.0 | 18 |
| 65.7 | 18 |
| 77.3 | 11 |
| 52.8 | 9 |
| 87.7 | 8 |
| 87.9 | 8 |
| 89.2 | 8 |
| 76.6 | 6 |
| 25.3 | 4 |